# 1
# Nb3MoS4
Simulated PXRD pattern, Cu Kα (λ = 1.5418 Å). Input: a cell relaxed with PBE.

Largest 12 diffraction maxima, by angle, 10° ≤ 2θ ≤ 90°:
| 2θ (°) | I/Imax |
| --- | --- |
| 17.43 | 27 |
| 17.90 | 35 |
| 29.15 | 41 |
| 30.36 | 100 |
| 35.84 | 40 |
| 36.25 | 28 |
| 39.50 | 56 |
| 44.13 | 68 |
| 45.85 | 34 |
| 48.22 | 26 |
| 49.84 | 15 |
| 64.01 | 16 |

```
data_Nb3MoS4
_symmetry_space_group_name_H-M 'P 1'
_symmetry_Int_Tables_number 1
_cell_length_a 9.1257
_cell_length_b 4.9565
_cell_length_c 6.1268
_cell_angle_alpha 90.00
_cell_angle_beta 90.00
_cell_angle_gamma 90.00
loop_
_symmetry_equiv_pos_as_xyz
'x,y,z'
loop_
_atom_site_label
_atom_site_type_symbol
_atom_site_fract_x
_atom_site_fract_y
_atom_site_fract_z
Nb1 Nb 0.0000 0.2074 0.0000
Nb2 Nb 0.2330 0.1541 0.6184
Nb3 Nb 0.2670 0.8459 0.1184
Nb4 Nb 0.5000 0.7926 0.5000
Nb5 Nb 0.7330 0.8459 0.1184
Nb6 Nb 0.7670 0.1541 0.6184
Mo1 Mo 0.0000 0.8143 0.7000
Mo2 Mo 0.5000 0.1857 0.2000
S1 S 0.0000 0.1947 0.4192
S2 S 0.0000 0.7103 0.0759
S3 S 0.2303 0.6668 0.4928
S4 S 0.2697 0.3332 0.9928
S5 S 0.5000 0.2897 0.5759
S6 S 0.5000 0.8053 0.9192
S7 S 0.7303 0.3332 0.9928
S8 S 0.7697 0.6668 0.4928
```

---

# 2
# TbNd2Dy2Y6
Simulated PXRD pattern, Cu Kα (λ = 1.5418 Å). Input: a cell relaxed with PBE.

Largest 12 diffraction maxima, by angle, 10° ≤ 2θ ≤ 90°:
| 2θ (°) | I/Imax |
| --- | --- |
| 30.58 | 28 |
| 30.78 | 23 |
| 31.45 | 38 |
| 32.00 | 100 |
| 33.63 | 20 |
| 44.58 | 16 |
| 46.71 | 16 |
| 52.55 | 11 |
| 56.34 | 20 |
| 61.98 | 15 |
| 62.54 | 12 |
| 79.88 | 9 |

```
data_TbNd2Dy2Y6
_symmetry_space_group_name_H-M 'P 1'
_symmetry_Int_Tables_number 1
_cell_length_a 6.6754
_cell_length_b 6.6754
_cell_length_c 10.6588
_cell_angle_alpha 90.00
_cell_angle_beta 90.00
_cell_angle_gamma 129.56
loop_
_symmetry_equiv_pos_as_xyz
'x,y,z'
loop_
_atom_site_label
_atom_site_type_symbol
_atom_site_fract_x
_atom_site_fract_y
_atom_site_fract_z
Tb1 Tb 0.0000 0.0000 0.0000
Nd1 Nd 0.3659 0.6341 0.5000
Nd2 Nd 0.6341 0.3659 0.5000
Dy1 Dy 0.2944 0.7056 0.0000
Dy2 Dy 0.7056 0.2944 0.0000
Y1 Y 0.1529 0.8471 0.2898
Y2 Y 0.1529 0.8471 0.7102
Y3 Y 0.5000 0.5000 0.2044
Y4 Y 0.5000 0.5000 0.7956
Y5 Y 0.8471 0.1529 0.2898
Y6 Y 0.8471 0.1529 0.7102
```

---

# 3
# PbClF
Simulated PXRD pattern, Cu Kα (λ = 1.5418 Å). Input: a cell relaxed with PBE.

Largest 12 diffraction maxima, by angle, 10° ≤ 2θ ≤ 90°:
| 2θ (°) | I/Imax |
| --- | --- |
| 18.57 | 58 |
| 24.98 | 100 |
| 27.24 | 46 |
| 34.94 | 54 |
| 39.86 | 33 |
| 42.54 | 38 |
| 46.79 | 34 |
| 49.97 | 16 |
| 56.19 | 14 |
| 58.09 | 22 |
| 67.66 | 13 |
| 72.95 | 13 |

```
data_PbClF
_symmetry_space_group_name_H-M 'P 1'
_symmetry_Int_Tables_number 1
_cell_length_a 4.2500
_cell_length_b 4.2500
_cell_length_c 14.3350
_cell_angle_alpha 90.00
_cell_angle_beta 90.00
_cell_angle_gamma 120.00
loop_
_symmetry_equiv_pos_as_xyz
'x,y,z'
loop_
_atom_site_label
_atom_site_type_symbol
_atom_site_fract_x
_atom_site_fract_y
_atom_site_fract_z
Pb1 Pb 0.0000 0.0000 0.0000
Pb2 Pb 0.3333 0.6667 0.6667
Pb3 Pb 0.6667 0.3333 0.3333
Cl1 Cl 0.0000 0.0000 0.7914
Cl2 Cl 0.3333 0.6667 0.4581
Cl3 Cl 0.6667 0.3333 0.1248
F1 F 0.0000 0.0000 0.2993
F2 F 0.3333 0.6667 0.9660
F3 F 0.6667 0.3333 0.6326
```

---

# 4
# MoPOsN
Simulated PXRD pattern, Cu Kα (λ = 1.5418 Å). Input: a cell relaxed with PBE.

Largest 12 diffraction maxima, by angle, 10° ≤ 2θ ≤ 90°:
| 2θ (°) | I/Imax |
| --- | --- |
| 13.15 | 100 |
| 33.84 | 39 |
| 35.13 | 41 |
| 40.18 | 15 |
| 41.24 | 42 |
| 42.34 | 26 |
| 45.50 | 25 |
| 47.57 | 26 |
| 52.55 | 10 |
| 62.30 | 16 |
| 73.66 | 11 |
| 82.64 | 12 |

```
data_MoPOsN
_symmetry_space_group_name_H-M 'P 1'
_symmetry_Int_Tables_number 1
_cell_length_a 2.7607
_cell_length_b 2.8812
_cell_length_c 6.7327
_cell_angle_alpha 90.00
_cell_angle_beta 90.00
_cell_angle_gamma 90.00
loop_
_symmetry_equiv_pos_as_xyz
'x,y,z'
loop_
_atom_site_label
_atom_site_type_symbol
_atom_site_fract_x
_atom_site_fract_y
_atom_site_fract_z
Mo1 Mo 0.0000 0.0000 0.0000
P1 P 0.5000 0.0000 0.4578
Os1 Os 0.5000 0.5000 0.7292
N1 N 0.0000 0.0000 0.3076
```

---

# 5
# CsZr2Ti2O7
Simulated PXRD pattern, Cu Kα (λ = 1.5418 Å). Input: a cell relaxed with PBE.

Largest 12 diffraction maxima, by angle, 10° ≤ 2θ ≤ 90°:
| 2θ (°) | I/Imax |
| --- | --- |
| 25.82 | 100 |
| 29.76 | 28 |
| 31.46 | 64 |
| 32.88 | 76 |
| 40.64 | 36 |
| 42.59 | 68 |
| 50.48 | 31 |
| 54.83 | 35 |
| 60.33 | 40 |
| 60.58 | 18 |
| 61.81 | 20 |
| 76.63 | 19 |

```
data_CsZr2Ti2O7
_symmetry_space_group_name_H-M 'P 1'
_symmetry_Int_Tables_number 1
_cell_length_a 9.3737
_cell_length_b 9.3737
_cell_length_c 9.3737
_cell_angle_alpha 153.82
_cell_angle_beta 153.82
_cell_angle_gamma 37.36
loop_
_symmetry_equiv_pos_as_xyz
'x,y,z'
loop_
_atom_site_label
_atom_site_type_symbol
_atom_site_fract_x
_atom_site_fract_y
_atom_site_fract_z
Cs1 Cs 0.0000 0.0000 0.0000
Zr1 Zr 0.3830 0.3830 0.0000
Zr2 Zr 0.6170 0.6170 0.0000
Ti1 Ti 0.2500 0.7500 0.5000
Ti2 Ti 0.7500 0.2500 0.5000
O1 O 0.1331 0.6331 0.5000
O2 O 0.2539 0.2539 0.0000
O3 O 0.3669 0.8669 0.5000
O4 O 0.5000 0.5000 0.0000
O5 O 0.6331 0.1331 0.5000
O6 O 0.7461 0.7461 0.0000
O7 O 0.8669 0.3669 0.5000
```